# BaCaEuSbO6
Computed powder diffraction line list, λ = 1.5418 Å (Cu Kα). Input: a DFT-relaxed cell (GGA-PBE, the Materials Project).
Lines closer than 0.1° are merged.

Atomic structure:
a = 5.968 Å, b = 6.015 Å, c = 8.486 Å
α = 89.64°, β = 89.38°, γ = 89.93°
Atoms (fractional coordinates):
Ba: 0.006 0.030 0.250
Ba: 0.994 0.970 0.750
Ca: 0.491 0.539 0.245
Ca: 0.509 0.461 0.755
Eu: 0.000 0.500 0.000
Eu: 0.500 0.000 0.500
Sb: 0.000 0.500 0.500
Sb: 0.500 0.000 0.000
O: 0.104 0.496 0.730
O: 0.199 0.766 0.463
O: 0.230 0.802 0.026
O: 0.272 0.310 0.440
O: 0.318 0.279 0.053
O: 0.441 0.056 0.768
O: 0.559 0.944 0.232
O: 0.682 0.721 0.947
O: 0.728 0.690 0.560
O: 0.770 0.198 0.974
O: 0.801 0.234 0.537
O: 0.896 0.504 0.270

Top 10 peaks for 2θ = 10–90°, in order of rising 2θ:
| Position (°2θ) | I (rel.) |
| --- | --- |
| 20.96 | 34 |
| 29.66 | 97 |
| 29.76 | 52 |
| 29.90 | 100 |
| 29.98 | 47 |
| 42.66 | 80 |
| 52.63 | 33 |
| 52.77 | 21 |
| 52.97 | 21 |
| 53.28 | 33 |

=====

# SiC
Computed powder diffraction line list, λ = 1.5418 Å (Cu Kα). Input: a DFT-relaxed cell (GGA-PBE, the Materials Project).
Lines closer than 0.1° are merged.

Atomic structure:
a = 22.814 Å, b = 22.814 Å, c = 22.814 Å
α = 7.79°, β = 7.79°, γ = 7.79°
Atoms (fractional coordinates):
Si: 0.000 0.000 0.000
Si: 0.074 0.074 0.074
Si: 0.148 0.148 0.148
Si: 0.222 0.222 0.222
Si: 0.296 0.296 0.296
Si: 0.444 0.444 0.444
Si: 0.593 0.593 0.593
Si: 0.704 0.704 0.704
Si: 0.852 0.852 0.852
C: 0.046 0.046 0.046
C: 0.120 0.120 0.120
C: 0.194 0.194 0.194
C: 0.269 0.269 0.269
C: 0.417 0.417 0.417
C: 0.565 0.565 0.565
C: 0.676 0.676 0.676
C: 0.824 0.824 0.824
C: 0.972 0.972 0.972

Top 10 peaks for 2θ = 10–90°, in order of rising 2θ:
| Position (°2θ) | I (rel.) |
| --- | --- |
| 33.46 | 33 |
| 34.68 | 88 |
| 35.06 | 41 |
| 35.52 | 100 |
| 37.65 | 71 |
| 38.29 | 58 |
| 59.69 | 91 |
| 64.76 | 32 |
| 66.07 | 28 |
| 71.42 | 70 |